1.
Simulated powder X-ray diffraction pattern
Compound: PrMgCo2O6
Radiation: CuKα
Structure: a DFT-relaxed cell (GGA+U, Alexandria)

Peak list (12 most intense, 2θ = 10–90°, most intense first)
| index | d_spacing | 2theta | Rel. int. |
| --- | --- | --- | --- |
| 1 1 -3 | 2.662 | 33.66 | 100 |
| 1 1 1 | 2.673 | 33.53 | 99 |
| 0 1 1 | 4.383 | 20.26 | 62 |
| 2 2 -2 | 1.876 | 48.53 | 52 |
| 2 0 -2 | 2.623 | 34.19 | 43 |
| 0 2 0 | 2.684 | 33.38 | 43 |
| 0 2 4 | 1.549 | 59.71 | 35 |
| 1 0 -2 | 4.304 | 20.64 | 32 |
| 1 0 0 | 4.326 | 20.53 | 31 |
| 0 0 4 | 1.897 | 47.96 | 30 |
| 1 2 -2 | 2.279 | 39.54 | 23 |
| 3 1 -5 | 1.520 | 60.96 | 23 |

Structure:
```
data_PrMgCo2O6
_chemical_formula_sum 'Pr2 Mg2 Co4 O12'
_space_group_name_H-M_alt 'P 1 c 1'
_space_group_IT_number 7
_space_group_name_Hall 'P -2yc'
_cell_length_a 5.2455
_cell_length_b 5.3686
_cell_length_c 9.2007
_cell_angle_alpha 90.00
_cell_angle_beta 124.44
_cell_angle_gamma 90.00
loop_
_atom_site_label
_atom_site_type_symbol
_atom_site_fract_x
_atom_site_fract_y
_atom_site_fract_z
Pr1 Pr 0.0000 0.2087 0.0000
Mg1 Mg 0.5330 0.3064 0.4981
Co1 Co 0.2608 0.2548 0.7472
Co2 Co 0.7599 0.2516 0.2501
O1 O 0.1279 0.2318 0.4923
O2 O 0.4435 0.2993 0.0101
O3 O 0.5031 0.0463 0.3035
O4 O 0.5974 0.4896 0.8108
O5 O 0.8818 0.0450 0.6912
O6 O 0.9846 0.4831 0.2024
```



2.
Simulated powder X-ray diffraction pattern
Compound: MgCoRhO4
Radiation: CuKα
Structure: a DFT-relaxed cell (GGA+U, Alexandria)

Peak list (12 most intense, 2θ = 10–90°, most intense first)
| index | d_spacing | 2theta | Rel. int. |
| --- | --- | --- | --- |
| 1 0 1 | 4.811 | 18.44 | 100 |
| 1 2 1 | 2.557 | 35.10 | 81 |
| 2 2 0 | 2.101 | 43.06 | 52 |
| 2 2 4 | 1.490 | 62.31 | 47 |
| 0 1 1 | 4.913 | 18.05 | 39 |
| 1 0 3 | 2.539 | 35.35 | 34 |
| 2 1 1 | 2.514 | 35.72 | 27 |
| 0 0 4 | 2.114 | 42.78 | 26 |
| 0 2 2 | 2.457 | 36.58 | 23 |
| 2 0 2 | 2.406 | 37.38 | 21 |
| 3 2 1 | 1.608 | 57.28 | 19 |
| 0 1 5 | 1.627 | 56.55 | 17 |

Structure:
```
data_MgCoRhO4
_chemical_formula_sum 'Mg4 Co4 Rh4 O16'
_space_group_name_H-M_alt 'I m m a'
_space_group_IT_number 74
_space_group_name_Hall '-I 2b 2'
_cell_length_a 5.8512
_cell_length_b 6.0376
_cell_length_c 8.4542
_cell_angle_alpha 90.00
_cell_angle_beta 90.00
_cell_angle_gamma 90.00
loop_
_atom_site_label
_atom_site_type_symbol
_atom_site_fract_x
_atom_site_fract_y
_atom_site_fract_z
Mg1 Mg 0.0000 0.2500 0.1259
Co1 Co 0.2500 0.2500 0.7500
Rh1 Rh 0.0000 0.0000 0.5000
O1 O 0.0000 0.0322 0.7443
O2 O 0.2357 0.2500 0.5213
```



3.
Simulated powder X-ray diffraction pattern
Compound: Sr4MgCo2S2O6
Radiation: CuKα
Structure: a DFT-relaxed cell (GGA+U, Alexandria)

Peak list (12 most intense, 2θ = 10–90°, most intense first)
| index | d_spacing | 2theta | Rel. int. |
| --- | --- | --- | --- |
| 1 0 4 | 2.808 | 31.87 | 100 |
| 1 1 0 | 2.744 | 32.64 | 52 |
| 2 1 4 | 1.596 | 57.76 | 35 |
| 2 0 0 | 1.940 | 46.83 | 34 |
| 0 0 2 | 8.138 | 10.87 | 22 |
| 1 0 6 | 2.223 | 40.58 | 20 |
| 1 1 8 | 1.634 | 56.29 | 13 |
| 2 2 0 | 1.372 | 68.39 | 10 |
| 2 1 6 | 1.462 | 63.66 | 10 |
| 1 1 4 | 2.275 | 39.62 | 9 |
| 1 1 5 | 2.098 | 43.12 | 8 |
| 3 1 0 | 1.227 | 77.85 | 8 |

Structure:
```
data_Sr4MgCo2S2O6
_chemical_formula_sum 'Sr4 Mg1 Co2 S2 O6'
_space_group_name_H-M_alt 'P -4 m 2'
_space_group_IT_number 115
_space_group_name_Hall 'P -4 -2'
_cell_length_a 3.8799
_cell_length_b 3.8799
_cell_length_c 16.2763
_cell_angle_alpha 90.00
_cell_angle_beta 90.00
_cell_angle_gamma 90.00
loop_
_atom_site_label
_atom_site_type_symbol
_atom_site_fract_x
_atom_site_fract_y
_atom_site_fract_z
Sr1 Sr 0.0000 0.5000 0.0850
Sr2 Sr 0.0000 0.5000 0.3081
Mg1 Mg 0.0000 0.0000 0.5000
Co1 Co 0.0000 0.5000 0.8136
S1 S 0.0000 0.5000 0.5963
O1 O 0.0000 0.0000 0.2064
O2 O 0.0000 0.5000 0.9326
O3 O 0.5000 0.5000 0.2060
```